Starting from the GGA-PBE geometry in the Materials Project, the PXRD pattern of MgSi was calculated for Cu Kα (weighted mean of Kα1 and Kα2).

Unit cell a=5.4589 b=5.4589 c=9.7669 alpha=96.43 beta=96.43 gamma=49.21
Sites, in units of the cell vectors:
Mg: 0.0573 0.0573 0.3556
Mg: 0.2934 0.2934 0.1657
Mg: 0.4099 0.4099 0.8742
Mg: 0.5901 0.5901 0.1258
Mg: 0.7066 0.7066 0.8343
Mg: 0.9427 0.9427 0.6444
Si: 0.0857 0.0857 0.9153
Si: 0.2414 0.2414 0.6345
Si: 0.3824 0.3824 0.4500
Si: 0.6176 0.6176 0.5500
Si: 0.7586 0.7586 0.3655
Si: 0.9143 0.9143 0.0847

Most intense lines, 2θ from 10° to 90°, by angle:
two_theta, Rel. int.
33.7, 17
36.2, 40
36.9, 100
37.1, 28
39.7, 66
40.3, 81
42.3, 21
48.3, 15
55.4, 19
73.2, 16